Calculated XRD peak list
Compound: V2ZnCuO7
Radiation: Cu Kα (λ = 1.5418 Å)
Structure: a crystal structure in Alexandria, relaxed with GGA+U

Crystal structure
Unit cell a=7.800 b=8.209 c=10.254 alpha=90.00 beta=110.17 gamma=90.00
Space group C2 (No. 5)
Inequivalent atoms, fractional coordinates:
V: 0.224 0.000 0.036 [4 per cell]
V: 0.235 0.534 0.542 [4 per cell]
Zn: 0.159 0.198 0.728 [4 per cell]
Cu: 0.198 0.344 0.237 [4 per cell]
O: 0.000 0.595 0.500 [2 per cell]
O: 0.000 0.912 0.000 [2 per cell]
O: 0.117 0.376 0.851 [4 per cell]
O: 0.122 0.184 0.351 [4 per cell]
O: 0.218 0.006 0.612 [4 per cell]
O: 0.228 0.185 0.111 [4 per cell]
O: 0.235 0.856 0.372 [4 per cell]
O: 0.239 0.525 0.126 [4 per cell]

Largest 12 diffraction maxima, sorted by position, 5° ≤ 2θ ≤ 70°:
| h k l | 2θ (°) | I_rel |
| --- | --- | --- |
| 1 1 0 | 16.22 | 43 |
| 2 0 0 | 24.31 | 100 |
| 1 1 2 | 27.67 | 25 |
| 1 1 -3 | 28.40 | 65 |
| 0 2 2 | 28.58 | 82 |
| 2 2 -2 | 33.28 | 21 |
| 1 3 -1 | 35.13 | 17 |
| 0 0 4 | 37.36 | 21 |
| 3 1 0 | 38.48 | 21 |
| 2 2 2 | 42.02 | 18 |
| 1 3 -3 | 42.39 | 16 |
| 1 3 -5 | 56.18 | 26 |